Structure and theoretical powder X-ray diffraction pattern of Li2AgAs (a cell relaxed with GGA-PBE; Cu Kα X-rays).
Kinematic intensities with the Lorentz-polarization factor, no thermal factor.

Largest 10 diffraction maxima, in order of rising 2θ, 2θ = 10–80°:
hkl, 2θ/deg, I/Imax
0 0 6, 20.40, 1000
1 0 1, 35.15, 586
0 1 2, 35.66, 229
1 0 4, 37.67, 183
0 1 5, 39.12, 512
0 0 12, 41.48, 193
1 0 7, 42.77, 396
0 1 11, 52.51, 174
1 1 6, 66.70, 217
1 1 12, 78.03, 171

Structural model:
Lattice parameters (Å, degrees): 2.963 2.963 26.121 90.00 90.00 120.00
Atoms (fractional coordinates):
Li (0.000, 0.000, 0.000)
Li (0.000, 0.000, 0.175)
Li (0.333, 0.667, 0.667)
Li (0.333, 0.667, 0.841)
Li (0.667, 0.333, 0.333)
Li (0.667, 0.333, 0.508)
Ag (0.000, 0.000, 0.421)
Ag (0.333, 0.667, 0.088)
Ag (0.667, 0.333, 0.754)
As (0.000, 0.000, 0.587)
As (0.333, 0.667, 0.254)
As (0.667, 0.333, 0.921)